[1]
# Li5Co7O3F13
Theoretical powder diffraction line list, copper Kα. Input: a PBE+U-relaxed structure.
Lines closer than 0.1° are merged.

Largest 6 diffraction maxima, by intensity, 10 to 90 degrees two-theta:
2θ 42.80, rel. 100; 2θ 17.04, rel. 98; 2θ 39.68, rel. 97; 2θ 17.93, rel. 69; 2θ 19.80, rel. 68; 2θ 44.30, rel. 64

Atomic structure:
a b c (Å): 5.9038 6.0864 9.9356
angles (deg): 93.75 91.64 117.92
Space group P1 (No. 1)
Unique sites:
Li 0.0000 0.0000 0.0000
Li 0.0184 0.0992 0.5760
Li 0.6155 0.2426 0.5561
Li 0.6395 0.3365 0.1157
Li 0.9624 0.4377 0.8131
Co 0.1052 0.6673 0.5680
Co 0.1917 0.3894 0.3077
Co 0.2225 0.9172 0.3139
Co 0.3283 0.6627 0.0645
Co 0.4679 0.4650 0.7964
Co 0.4691 0.9447 0.8048
Co 0.7018 0.7663 0.3226
O 0.2856 0.6124 0.7109
O 0.4618 0.5191 0.1886
O 0.9772 0.8186 0.4445
F 0.0067 0.5330 0.1969
F 0.1578 0.3364 0.9412
F 0.1719 0.8109 0.9427
F 0.3105 0.1230 0.6806
F 0.4017 0.2784 0.4151
F 0.4314 0.8079 0.4358
F 0.4815 0.0012 0.1780
F 0.6270 0.3001 0.9144
F 0.6422 0.7909 0.9344
F 0.7762 0.1118 0.6935
F 0.7884 0.5567 0.6790
F 0.9492 0.3123 0.4542
F 0.9902 0.0178 0.2001

[2]
# Li4CoO3F
Theoretical powder diffraction line list, copper Kα. Input: a PBE+U-relaxed structure.
Lines closer than 0.1° are merged.

Largest 6 diffraction maxima, by intensity, 10 to 90 degrees two-theta:
2θ 27.76, rel. 100; 2θ 31.50, rel. 93; 2θ 16.56, rel. 84; 2θ 21.24, rel. 68; 2θ 36.14, rel. 58; 2θ 22.68, rel. 53

Atomic structure:
a b c (Å): 7.8411 7.3236 6.7020
angles (deg): 90.00 90.00 90.00
Space group Cmc2_1 (No. 36)
Unique sites:
Li 0.1549 0.2387 0.0000
Li 0.1634 0.4966 0.2445
Co 0.0000 0.1195 0.4195
O 0.0000 0.2915 0.2295
O 0.2038 0.0286 0.4917
F 0.0000 0.3098 0.7876

[3]
# Li4Co2OF7
Theoretical powder diffraction line list, copper Kα. Input: a PBE+U-relaxed structure.
Lines closer than 0.1° are merged.

Largest 6 diffraction maxima, by intensity, 10 to 90 degrees two-theta:
2θ 18.33, rel. 100; 2θ 18.23, rel. 97; 2θ 42.92, rel. 81; 2θ 35.08, rel. 50; 2θ 20.91, rel. 50; 2θ 35.17, rel. 49

Atomic structure:
a b c (Å): 10.3787 6.0106 10.3216
angles (deg): 90.00 110.34 90.00
Space group Cc (No. 9)
Unique sites:
Li 0.0000 0.2458 0.0000
Li 0.0612 0.2458 0.6746
Li 0.1269 0.2532 0.3578
Li 0.3114 0.2460 0.9288
Co 0.3146 0.4938 0.6816
Co 0.3250 0.0219 0.6900
O 0.4246 0.2359 0.7920
F 0.1881 0.2408 0.5584
F 0.1911 0.0103 0.7925
F 0.1909 0.4811 0.7951
F 0.2044 0.2338 0.0684
F 0.4271 0.4834 0.0568
F 0.4299 0.0141 0.0597
F 0.4344 0.2447 0.2967

[4]
# LiCo6O2F10
Theoretical powder diffraction line list, copper Kα. Input: a PBE+U-relaxed structure.
Lines closer than 0.1° are merged.

Largest 6 diffraction maxima, by intensity, 10 to 90 degrees two-theta:
2θ 25.92, rel. 100; 2θ 26.04, rel. 75; 2θ 33.13, rel. 53; 2θ 33.97, rel. 45; 2θ 50.49, rel. 32; 2θ 51.09, rel. 30

Atomic structure:
a b c (Å): 6.8475 6.8746 9.6065
angles (deg): 90.00 92.14 90.00
Space group Cm (No. 8)
Unique sites:
Li 0.0000 0.0000 0.0000
Co 0.2143 0.5000 0.1509
Co 0.2581 0.0000 0.3039
Co 0.2686 0.5000 0.4694
Co 0.2774 0.0000 0.6413
Co 0.3237 0.5000 0.7872
Co 0.3421 0.0000 0.9477
O 0.1238 0.0000 0.8269
O 0.4298 0.0000 0.1261
F 0.0143 0.0000 0.1799
F 0.0160 0.5000 0.7898
F 0.0726 0.0000 0.4791
F 0.2367 0.3010 0.3118
F 0.2931 0.3006 0.6341
F 0.2999 0.3147 0.9667
F 0.4625 0.0000 0.4708

[5]
# Li4CoOF5
Theoretical powder diffraction line list, copper Kα. Input: a PBE+U-relaxed structure.
Lines closer than 0.1° are merged.

Largest 6 diffraction maxima, by intensity, 10 to 90 degrees two-theta:
2θ 14.98, rel. 100; 2θ 27.77, rel. 86; 2θ 37.04, rel. 58; 2θ 18.28, rel. 51; 2θ 43.21, rel. 51; 2θ 19.28, rel. 36

Atomic structure:
a b c (Å): 10.3325 3.6963 6.6374
angles (deg): 90.00 116.98 90.00
Space group C2/m (No. 12)
Unique sites:
Li 0.1348 0.0000 0.3834
Li 0.1677 0.0000 0.8079
Co 0.0000 0.5000 0.0000
O 0.0000 0.0000 0.0000
F 0.0000 0.0000 0.5000
F 0.1482 0.5000 0.8807
F 0.1830 0.5000 0.3209

[6]
# Li3Co8O4F12
Theoretical powder diffraction line list, copper Kα. Input: a PBE+U-relaxed structure.
Lines closer than 0.1° are merged.

Largest 6 diffraction maxima, by intensity, 10 to 90 degrees two-theta:
2θ 43.71, rel. 100; 2θ 18.40, rel. 61; 2θ 41.67, rel. 60; 2θ 18.28, rel. 38; 2θ 20.49, rel. 34; 2θ 61.61, rel. 31

Atomic structure:
a b c (Å): 10.5374 5.8554 10.3941
angles (deg): 90.00 111.91 90.00
Space group Cm (No. 8)
Unique sites:
Li 0.0000 0.0000 0.0000
Li 0.1192 0.5000 0.8782
Li 0.3096 0.5000 0.4358
Co 0.0504 0.0000 0.6961
Co 0.0542 0.5000 0.1821
Co 0.0560 0.2378 0.4344
Co 0.3073 0.2467 0.7000
Co 0.3191 0.2493 0.1966
O 0.1641 0.0000 0.5855
O 0.4264 0.5000 0.7900
O 0.4275 0.5000 0.3234
O 0.4551 0.0000 0.3083
F 0.1686 0.2371 0.8017
F 0.1829 0.5000 0.5563
F 0.1861 0.5000 0.0795
F 0.1886 0.2679 0.3216
F 0.1986 0.0000 0.0896
F 0.4283 0.0000 0.8079
F 0.4339 0.2529 0.0729
F 0.4335 0.2748 0.5726

[7]
# Li3Co3OF7
Theoretical powder diffraction line list, copper Kα. Input: a PBE+U-relaxed structure.
Lines closer than 0.1° are merged.

Largest 6 diffraction maxima, by intensity, 10 to 90 degrees two-theta:
2θ 34.64, rel. 100; 2θ 20.75, rel. 86; 2θ 34.50, rel. 67; 2θ 18.12, rel. 64; 2θ 29.65, rel. 64; 2θ 17.87, rel. 61

Atomic structure:
a b c (Å): 10.4007 6.1062 6.0267
angles (deg): 90.00 124.65 90.00
Space group Cm (No. 8)
Unique sites:
Li 0.0000 0.0000 0.0000
Li 0.0112 0.0000 0.5316
Li 0.3906 0.0000 0.6485
Co 0.1403 0.5000 0.4345
Co 0.2571 0.2553 0.0094
O 0.2676 0.5000 0.8130
F 0.0035 0.2362 0.2725
F 0.0172 0.2342 0.7813
F 0.2509 0.0000 0.7681
F 0.2582 0.0000 0.2413
F 0.2694 0.5000 0.2820

[8]
# Li5CoOF5
Theoretical powder diffraction line list, copper Kα. Input: a PBE+U-relaxed structure.
Lines closer than 0.1° are merged.

Largest 6 diffraction maxima, by intensity, 10 to 90 degrees two-theta:
2θ 43.98, rel. 100; 2θ 14.10, rel. 62; 2θ 63.35, rel. 53; 2θ 43.20, rel. 51; 2θ 31.54, rel. 46; 2θ 33.94, rel. 33

Atomic structure:
a b c (Å): 2.9115 2.9115 12.5651
angles (deg): 90.00 90.00 90.00
Space group P4/mmm (No. 123)
Unique sites:
Li 0.0000 0.0000 0.0000
Li 0.0000 0.0000 0.3271
Li 0.5000 0.5000 0.1611
Co 0.5000 0.5000 0.5000
O 0.0000 0.0000 0.5000
F 0.0000 0.0000 0.1620
F 0.5000 0.5000 0.0000
F 0.5000 0.5000 0.3220